This entry pairs a crystal structure of Li3CoO2F with its calculated powder diffractogram. Radiation: Cu Ka. Structure: DFT lattice parameters and positions (PBE+U).
No peak broadening, texture or thermal motion is included.

Structural model:
a b c (Å): 8.3753 9.6040 3.6829
angles (deg): 90.00 90.00 90.00
Positions (direct):
Li (0.1000, 0.1673, 0.0000)
Li (0.1118, 0.9131, 0.5000)
Li (0.1526, 0.3322, 0.5000)
Li (0.3474, 0.8322, 0.0000)
Li (0.3882, 0.4131, 0.0000)
Li (0.4000, 0.6673, 0.5000)
Li (0.6000, 0.3327, 0.5000)
Li (0.6118, 0.5869, 0.0000)
Li (0.6526, 0.1678, 0.0000)
Li (0.8474, 0.6678, 0.5000)
Li (0.8882, 0.0869, 0.5000)
Li (0.9000, 0.8327, 0.0000)
Co (0.1325, 0.5889, 0.0000)
Co (0.3675, 0.0889, 0.5000)
Co (0.6325, 0.9111, 0.5000)
Co (0.8675, 0.4111, 0.0000)
O (0.0930, 0.3822, 0.0000)
O (0.1507, 0.1181, 0.5000)
O (0.3493, 0.6181, 0.0000)
O (0.4070, 0.8822, 0.5000)
O (0.5930, 0.1178, 0.5000)
O (0.6507, 0.3819, 0.0000)
O (0.8493, 0.8819, 0.5000)
O (0.9070, 0.6178, 0.0000)
F (0.1238, 0.8518, 0.0000)
F (0.3762, 0.3518, 0.5000)
F (0.6238, 0.6482, 0.5000)
F (0.8762, 0.1482, 0.0000)

Top 12 peaks for 2θ = 15–90°, by intensity:
- 25.91 deg, intensity 100
- 26.44 deg, intensity 74
- 28.05 deg, intensity 55
- 37.47 deg, intensity 44
- 38.79 deg, intensity 39
- 43.21 deg, intensity 38
- 21.33 deg, intensity 29
- 49.50 deg, intensity 29
- 53.83 deg, intensity 24
- 35.29 deg, intensity 24
- 51.07 deg, intensity 22
- 67.78 deg, intensity 18